Record 1
The following is a calculated powder XRD pattern of Na2HfScP3O12. It was derived from a PBE-relaxed structure, using λ = 1.5418 Å (Cu Kα).

Atomic structure:
```
data_Na2HfScP3O12
_chemical_formula_sum 'Na8 Hf4 Sc4 P12 O48'
_cell_length_a 15.563
_cell_length_b 8.894
_cell_length_c 9.257
_cell_angle_alpha 90.00
_cell_angle_beta 123.98
_cell_angle_gamma 90.00
_space_group_name_H-M_alt 'C 1 c 1'
_space_group_IT_number 9
_space_group_name_Hall 'C -2yc'
loop_
_atom_site_label
_atom_site_type_symbol
_atom_site_fract_x
_atom_site_fract_y
_atom_site_fract_z
Na1 Na 0.000 0.114 0.000
Na2 Na 0.253 0.250 0.254
Hf1 Hf 0.107 0.254 0.805
Sc1 Sc 0.396 0.246 0.693
P1 P 0.000 0.458 0.996
P2 P 0.146 0.106 0.493
P3 P 0.357 0.395 0.000
O1 O 0.050 0.170 0.328
O2 O 0.069 0.443 0.659
O3 O 0.076 0.354 0.978
O4 O 0.140 0.131 0.655
O5 O 0.145 0.070 0.977
O6 O 0.244 0.174 0.517
O7 O 0.259 0.322 0.978
O8 O 0.356 0.432 0.519
O9 O 0.361 0.369 0.840
O10 O 0.430 0.149 0.517
O11 O 0.434 0.056 0.836
O12 O 0.454 0.326 0.167
```

Top 10 peaks for 10° ≤ 2θ ≤ 90°, sorted by position:
Position (°2θ), I/Imax
13.8, 100
19.2, 82
19.8, 50
20.0, 29
23.0, 28
27.8, 33
30.7, 70
30.8, 35
34.6, 21
34.9, 28


Record 2
The following is a calculated powder XRD pattern of GdN. It was derived from a PBE-relaxed structure, using λ = 1.5418 Å (Cu Kα).

Atomic structure:
```
data_GdN
_chemical_formula_sum 'Gd4 N4'
_cell_length_a 4.988
_cell_length_b 4.988
_cell_length_c 4.988
_cell_angle_alpha 90.00
_cell_angle_beta 90.00
_cell_angle_gamma 90.00
_space_group_name_H-M_alt 'F m -3 m'
_space_group_IT_number 225
_space_group_name_Hall '-F 4 2 3'
loop_
_atom_site_label
_atom_site_type_symbol
_atom_site_fract_x
_atom_site_fract_y
_atom_site_fract_z
Gd1 Gd 0.000 0.000 0.000
N1 N 0.000 0.000 0.500
```

Top 8 peaks for 10° ≤ 2θ ≤ 90°, sorted by position:
Position (°2θ), I/Imax
31.1, 100
36.0, 72
51.8, 50
61.7, 45
64.7, 17
76.4, 8
84.7, 19
87.4, 23


Record 3
The following is a calculated powder XRD pattern of CeZnPd. It was derived from a PBE-relaxed structure, using λ = 1.5418 Å (Cu Kα).

Atomic structure:
```
data_CeZnPd
_chemical_formula_sum 'Ce3 Zn3 Pd3'
_cell_length_a 7.3541
_cell_length_b 7.3541
_cell_length_c 3.9950
_cell_angle_alpha 90.00
_cell_angle_beta 90.00
_cell_angle_gamma 120.00
_space_group_name_H-M_alt 'P -6 2 m'
_space_group_IT_number 189
_space_group_name_Hall 'P -6 -2'
loop_
_atom_site_label
_atom_site_type_symbol
_atom_site_fract_x
_atom_site_fract_y
_atom_site_fract_z
Ce1 Ce 0.0000 0.4109 0.0000
Zn1 Zn 0.0000 0.7563 0.5000
Pd1 Pd 0.0000 0.0000 0.0000
Pd2 Pd 0.3333 0.6667 0.5000
```

Top 10 peaks for 10° ≤ 2θ ≤ 90°, sorted by position:
Position (°2θ), I/Imax
33.1, 91
36.1, 100
37.4, 39
42.6, 31
43.9, 25
45.4, 26
57.0, 20
60.2, 19
64.0, 18
68.4, 26